For Ca2Mn9O13, a structure optimized by DFT (PBE+U) gives the theoretical powder diffractogram in this record (Cu Kα (weighted mean of Kα1 and Kα2)).
Peak positions follow from Bragg's law for the DFT cell and can differ from measured ones.

Most intense lines, 2θ = 15–90°, sorted by position:
| d [Å] | intensity | (hkl) |
| --- | --- | --- |
| 2.660 | 81 | 2 0 -6 |
| 2.647 | 72 | 2 0 5 |
| 2.326 | 60 | 2 0 6 |
| 2.305 | 47 | 3 1 -2 |
| 2.270 | 72 | 3 1 1 |
| 2.235 | 100 | 3 1 -3 |
| 2.183 | 48 | 3 1 2 |
| 1.581 | 72 | 0 2 0 |

Cell and atoms:
```
data_Ca2Mn9O13
_chemical_formula_sum 'Ca4 Mn18 O26'
_symmetry_space_group_name_H-M 'C 1 2/m 1'
_symmetry_Int_Tables_number 12
_symmetry_space_group_name_Hall '-C 2y'
_cell_length_a 10.4061
_cell_length_b 3.1630
_cell_length_c 17.1798
_cell_angle_alpha 90.00
_cell_angle_beta 99.04
_cell_angle_gamma 90.00
loop_
_atom_site_label
_atom_site_type_symbol
_atom_site_fract_x
_atom_site_fract_y
_atom_site_fract_z
Ca1 Ca 0.2291 0.0000 0.2305
Mn1 Mn 0.9997 0.0000 0.3326
Mn2 Mn 0.0000 0.5000 0.5000
Mn3 Mn 0.0532 0.0000 0.8770
Mn4 Mn 0.1529 0.5000 0.0401
Mn5 Mn 0.2416 0.0000 0.5803
O1 O 0.0000 0.0000 0.0000
O2 O 0.0926 0.5000 0.1410
O3 O 0.1156 0.0000 0.7735
O4 O 0.1163 0.5000 0.6136
O5 O 0.1387 0.5000 0.3209
O6 O 0.1417 0.0000 0.4693
O7 O 0.1992 0.5000 0.9327
```